The following is a computed powder diffractogram of CaYb3Mn4O12. It was derived from a cell relaxed with PBE+U, using a wavelength of 1.5418 Å.

Cell and atoms:
abc: 5.3543 7.5698 5.5363
angles: 90.00 90.22 90.00
Space group Pm (No. 6)
Unique sites:
Ca: 0.0000 0.0000 0.0000
Yb: 0.4754 0.0000 0.5057
Yb: 0.5016 0.5000 0.3890
Yb: 0.9749 0.5000 0.8879
Mn: 0.4876 0.2491 0.9479
Mn: 0.9895 0.2491 0.4455
O: 0.0811 0.5000 0.4746
O: 0.1914 0.2053 0.7414
O: 0.2921 0.2063 0.2497
O: 0.3951 0.5000 0.9750
O: 0.5748 0.0000 0.9179
O: 0.6916 0.2981 0.6502
O: 0.7858 0.3010 0.1520
O: 0.8946 0.0000 0.4198

The 10 most intense peaks (2θ = 15–90°), most intense first:
two_theta  I/Imax  h k l
33.20  100  1 2 1
33.47  25  2 0 0
25.97  22  1 1 -1
32.34  21  0 0 2
23.11  16  1 0 1
48.08  15  0 4 0
54.00  12  1 1 3
48.79  12  0 3 2
59.72  12  3 2 1
41.31  11  2 2 0